For H6PdPtPb2, a DFT-relaxed cell (PBE, Alexandria) gives the simulated XRD peak list in this record (CuKα).
Peak positions follow from Bragg's law for the DFT cell and can differ from measured ones.

Cell and atoms:
```
10
Lattice="3.4958 -3.4711 0.0000 3.4958 3.4711 0.0000 -1.7559 0.0000 5.4914" Properties=species:S:1:pos:R:3 pbc="T T T"
H 0.0000 0.0000 0.0000
H 1.7971 0.0000 1.2801
H 3.5997 1.7760 1.3458
H 1.9062 0.0000 5.4200
H 3.5997 -1.7760 1.3458
H 5.3839 0.0000 1.4898
Pd 3.5611 0.0000 1.6201
Pt 0.1171 0.0000 1.6412
Pb 1.8447 1.7046 3.6413
Pb 1.8447 -1.7046 3.6413
```

Main lines, low angle first (10° ≤ 2θ ≤ 90°):
d (Å)	intensity
5.491	48
3.331	52
2.934	100
2.746	23
2.528	78
2.403	98
2.153	29
1.639	41
1.502	27
1.431	36

***

For H8PdRh4Pb, a DFT-relaxed cell (PBE, Alexandria) gives the simulated XRD peak list in this record (CuKα).
Peak positions follow from Bragg's law for the DFT cell and can differ from measured ones.

Cell and atoms:
```
14
Lattice="2.8352 1.6369 4.7445 -2.8352 1.6369 4.7445 0.0000 -3.2738 4.7445" Properties=species:S:1:pos:R:3 pbc="T T T"
H 0.0000 0.0000 0.0000
H -1.0754 -0.6209 4.9316
H 0.0000 0.0000 6.4698
H 1.0754 -0.6209 4.9316
H 0.0000 1.2418 4.9316
H -1.3939 -0.8048 11.6195
H 1.3939 -0.8048 11.6195
H 0.0000 1.6096 11.6195
Pd 0.0000 0.0000 3.4303
Rh 0.0000 -1.6719 5.8436
Rh -1.4479 0.8359 5.8436
Rh 1.4479 0.8359 5.8436
Rh 0.0000 0.0000 12.4324
Pb 0.0000 0.0000 8.6536
```

Main lines, low angle first (10° ≤ 2θ ≤ 90°):
d (Å)	intensity
2.881	34
2.835	35
2.463	34
2.434	100
2.420	40
2.372	19
2.321	31
1.547	25
1.441	22
1.418	23

***

Number 2 is which compound?
H8PdRh4Pb